# 1
Simulated X-ray diffraction stick pattern
Compound: CaY14Tm
Radiation: CuKα
Structure: a cell relaxed with PBE

Main lines, sorted by position (2θ = 10–90°):
- 3.167 Å, I = 24, hkl 0 0 4
- 2.845 Å, I = 24, hkl 4 0 0
- 2.767 Å, I = 100, hkl 2 2 2
- 2.117 Å, I = 15, hkl 4 0 4
- 1.828 Å, I = 13, hkl 0 2 6
- 1.627 Å, I = 19, hkl 6 2 2
- 1.538 Å, I = 21, hkl 4 4 0
- 1.526 Å, I = 16, hkl 2 0 8
- 1.171 Å, I = 13, hkl 2 4 8
- 1.123 Å, I = 7, hkl 8 4 0

Atomic structure:
abc: 11.382 7.317 12.664
angles: 90.00 90.00 90.00
Space group Amm2 (No. 38)
Inequivalent atoms, fractional coordinates:
Ca  0.000  0.000  0.000 x2
Y  0.000  0.250  0.249 x4
Y  0.246  0.000  0.666 x4
Y  0.253  0.247  0.416 x8
Y  0.254  0.000  0.169 x4
Y  0.500  0.000  0.000 x2
Y  0.500  0.000  0.500 x2
Y  0.500  0.250  0.250 x4
Tm  0.000  0.000  0.500 x2


# 2
Simulated X-ray diffraction stick pattern
Compound: CaTm3Zn2
Radiation: CuKα
Structure: a cell relaxed with PBE

Main lines, sorted by position (2θ = 10–90°):
- 3.675 Å, I = 29, hkl 1 1 1
- 3.004 Å, I = 74, hkl 1 2 1
- 2.826 Å, I = 67, hkl 1 0 2
- 2.736 Å, I = 28, hkl 0 2 2
- 2.697 Å, I = 82, hkl 1 1 2
- 2.574 Å, I = 100, hkl 1 3 0
- 2.480 Å, I = 68, hkl 2 0 0
- 2.266 Å, I = 28, hkl 0 3 2
- 2.222 Å, I = 24, hkl 0 1 3
- 1.530 Å, I = 40, hkl 1 4 3

Atomic structure:
abc: 4.959 9.035 6.878
angles: 90.00 90.00 90.00
Space group Pmc2_1 (No. 26)
Inequivalent atoms, fractional coordinates:
Ca  0.000  0.060  0.000 x2
Tm  0.000  0.327  0.637 x2
Tm  0.500  0.180  0.322 x2
Tm  0.500  0.442  0.960 x2
Zn  0.000  0.358  0.216 x2
Zn  0.500  0.153  0.744 x2